This entry pairs a crystal structure of Cs2InSbH with its theoretical XRD peak list. Radiation: Cu Ka. Structure: a PBE-relaxed structure.
Neutral-atom scattering factors, no anomalous dispersion.

The 10 most intense peaks (15 to 90 degrees two-theta), by intensity:
- 3.638 Å, I = 100, (1 0 -3)
- 3.096 Å, I = 46, (1 0 3)
- 2.940 Å, I = 41, (2 1 0)
- 3.725 Å, I = 40, (2 0 0)
- 3.665 Å, I = 39, (1 1 1)
- 2.790 Å, I = 38, (2 1 -2)
- 2.897 Å, I = 31, (1 1 -3)
- 2.394 Å, I = 25, (0 2 0)
- 1.894 Å, I = 22, (1 2 3)
- 2.053 Å, I = 20, (1 1 -5)

Structure:
Lattice parameters (Å, degrees): 7.6028 4.7879 11.4196 90.00 101.55 90.00
Sites, in units of the cell vectors:
Cs1 0.1935 0.2500 0.4098
Cs2 0.2816 0.7500 0.0723
Cs3 0.7184 0.2500 0.9277
Cs4 0.8065 0.7500 0.5902
In1 0.3342 0.7500 0.7050
In2 0.6658 0.2500 0.2950
Sb1 0.1712 0.2500 0.7802
Sb2 0.8288 0.7500 0.2198
H1 0.4213 0.2500 0.2180
H2 0.5787 0.7500 0.7820